Record 1
This entry pairs a crystal structure of NaBi5Pt3 with its computed XRD peak list. Radiation: Cu Kα (λ = 1.5418 Å). Structure: a crystal structure in OQMD, relaxed with PBE.
Peak positions follow from Bragg's law for the DFT cell and can differ from measured ones.

Crystal structure
```
NaBi5Pt3
1.0
5.834 0.000 0.000
-2.917 5.052 0.000
0.000 0.000 8.500
Na Bi Pt
1 5 3
Cartesian
0.000 0.000 0.000 Na
0.000 0.000 4.250 Bi
0.000 3.368 1.865 Bi
0.000 3.368 6.635 Bi
2.917 1.684 1.865 Bi
2.917 1.684 6.635 Bi
-1.459 2.526 4.250 Pt
2.917 0.000 4.250 Pt
1.459 2.526 4.250 Pt
```

Top 10 peaks for 10 to 80 degrees two-theta, by angle:
2theta	I/Imax
10.41	100
17.55	37
27.42	33
30.65	53
31.58	32
37.13	60
37.39	44
41.59	89
63.82	24
66.27	20

Record 2
This entry pairs a crystal structure of Li4MgGaHg2 with its computed XRD peak list. Radiation: Cu Kα (λ = 1.5418 Å). Structure: a crystal structure in OQMD, relaxed with PBE.
Peak positions follow from Bragg's law for the DFT cell and can differ from measured ones.

Crystal structure
```
Li4MgGaHg2
1.0
4.587 0.000 0.000
0.000 4.587 0.000
0.000 0.000 6.591
Li Mg Ga Hg
4 1 1 2
Cartesian
0.000 0.000 0.000 Li
0.000 2.294 1.508 Li
2.294 0.000 5.082 Li
2.294 2.294 3.295 Li
0.000 0.000 3.295 Mg
2.294 2.294 0.000 Ga
0.000 2.294 4.970 Hg
2.294 0.000 1.621 Hg
```

Top 10 peaks for 10 to 80 degrees two-theta, by angle:
2theta	I/Imax
23.63	100
27.06	10
27.50	19
38.96	47
39.28	23
45.79	18
46.36	35
48.35	9
61.88	15
71.00	16

Record 3
This entry pairs a crystal structure of FeH4 with its computed XRD peak list. Radiation: Cu Kα (λ = 1.5418 Å). Structure: a crystal structure in OQMD, relaxed with PBE.
Peak positions follow from Bragg's law for the DFT cell and can differ from measured ones.

Crystal structure
```
FeH4
1.0
2.821 0.000 0.000
0.000 3.635 0.000
-0.937 0.000 4.072
Fe H
2 8
Cartesian
-0.187 0.909 0.963 Fe
2.072 2.726 3.110 Fe
-0.020 2.726 0.621 H
0.324 0.008 2.338 H
0.324 1.810 2.338 H
1.410 0.000 0.000 H
1.410 1.817 0.000 H
1.560 1.825 1.734 H
1.560 3.627 1.734 H
1.905 0.909 3.452 H
```

Top 10 peaks for 10 to 80 degrees two-theta, by angle:
2theta	I/Imax
32.57	52
33.03	100
43.23	45
44.49	20
49.37	15
50.20	14
50.69	28
61.13	17
69.30	11
72.28	8

Record 4
This entry pairs a crystal structure of GdErCSe with its computed XRD peak list. Radiation: Cu Kα (λ = 1.5418 Å). Structure: a crystal structure in OQMD, relaxed with PBE.
Peak positions follow from Bragg's law for the DFT cell and can differ from measured ones.

Crystal structure
```
GdErCSe
1.0
3.763 0.000 0.000
-1.882 3.259 0.000
0.000 0.000 13.283
Gd Er C Se
2 2 2 2
Cartesian
0.000 2.173 0.000 Gd
1.882 1.086 6.641 Gd
0.000 2.173 3.978 Er
1.882 1.086 10.619 Er
0.000 0.000 5.290 C
0.000 0.000 11.931 C
0.000 2.173 8.679 Se
1.882 1.086 2.038 Se
```

Top 10 peaks for 10 to 80 degrees two-theta, by angle:
2theta	I/Imax
26.85	8
27.36	29
28.19	13
34.16	100
40.76	10
48.37	28
49.79	10
56.08	9
60.54	19
65.05	15